Simulated X-ray diffraction stick pattern
Compound: TaCr3Cu2S8
Radiation: Cu Kα (λ = 1.5418 Å)
Structure: a PBE-relaxed structure
Peak positions follow from Bragg's law for the DFT cell and can differ from measured ones.

Atomic structure:
```
TaCr3Cu2S8
1.0
3.4001 0.0000 0.0000
0.0000 12.5977 0.0000
0.0000 0.0000 11.0811
Ta Cr Cu S
2 6 4 16
direct
0.0000 0.1646 0.0000 Ta
0.0000 0.8354 0.5000 Ta
0.0000 0.3743 0.5288 Cr
0.0000 0.6257 0.0288 Cr
0.5000 0.1428 0.6451 Cr
0.5000 0.3338 0.1709 Cr
0.5000 0.6662 0.6709 Cr
0.5000 0.8572 0.1451 Cr
0.0000 0.4454 0.8003 Cu
0.0000 0.5546 0.3003 Cu
0.5000 0.1084 0.3769 Cu
0.5000 0.8916 0.8769 Cu
0.0000 0.0956 0.7824 S
0.0000 0.1895 0.4980 S
0.0000 0.1994 0.2140 S
0.0000 0.4549 0.1298 S
0.0000 0.5451 0.6298 S
0.0000 0.8006 0.7140 S
0.0000 0.8105 0.9980 S
0.0000 0.9044 0.2824 S
0.5000 0.0278 0.0296 S
0.5000 0.3005 0.9567 S
0.5000 0.3280 0.6773 S
0.5000 0.4146 0.3814 S
0.5000 0.5854 0.8814 S
0.5000 0.6720 0.1773 S
0.5000 0.6995 0.4567 S
0.5000 0.9722 0.5296 S
```

The 8 most intense peaks (2θ from 10° to 90°), in order of falling intensity:
30.96°, rel. 100; 42.07°, rel. 92; 28.00°, rel. 86; 53.93°, rel. 73; 51.48°, rel. 71; 28.35°, rel. 71; 33.92°, rel. 64; 10.63°, rel. 60

Simulated X-ray diffraction stick pattern
Compound: TaCr3Cu2S8
Radiation: Cu Kα (λ = 1.5418 Å)
Structure: a PBE-relaxed structure
Peak positions follow from Bragg's law for the DFT cell and can differ from measured ones.

Atomic structure:
```
TaCr3Cu2S8
1.0
7.0796 0.0000 0.0000
0.0000 5.7257 0.0000
0.0000 0.0000 12.0736
Ta Cr Cu S
2 6 4 16
direct
0.0000 0.2306 0.0000 Ta
0.0000 0.7694 0.5000 Ta
0.2532 0.2533 0.2502 Cr
0.2532 0.7467 0.7502 Cr
0.5000 0.2682 0.5046 Cr
0.5000 0.7318 0.0046 Cr
0.7468 0.2533 0.2502 Cr
0.7468 0.7467 0.7502 Cr
0.0000 0.1400 0.6578 Cu
0.0000 0.8600 0.1578 Cu
0.5000 0.3445 0.8400 Cu
0.5000 0.6555 0.3400 Cu
0.0000 0.0115 0.3372 S
0.0000 0.4711 0.1702 S
0.0000 0.5289 0.6702 S
0.0000 0.9885 0.8372 S
0.2432 0.4829 0.4196 S
0.2432 0.5171 0.9196 S
0.2616 0.0129 0.0818 S
0.2616 0.9871 0.5818 S
0.5000 0.0460 0.3374 S
0.5000 0.4899 0.1700 S
0.5000 0.5101 0.6700 S
0.5000 0.9540 0.8374 S
0.7384 0.0129 0.0818 S
0.7384 0.9871 0.5818 S
0.7568 0.4829 0.4196 S
0.7568 0.5171 0.9196 S
```

The 8 most intense peaks (2θ from 10° to 90°), in order of falling intensity:
29.93°, rel. 100; 21.27°, rel. 67; 43.32°, rel. 64; 52.30°, rel. 48; 30.60°, rel. 46; 19.32°, rel. 39; 43.57°, rel. 29; 47.40°, rel. 28

Simulated X-ray diffraction stick pattern
Compound: TaCr3Cu2S8
Radiation: Cu Kα (λ = 1.5418 Å)
Structure: a PBE-relaxed structure
Peak positions follow from Bragg's law for the DFT cell and can differ from measured ones.

Atomic structure:
```
TaCr3Cu2S8
1.0
3.4219 0.0000 0.0000
0.0000 12.0211 0.0000
0.0000 0.0000 11.3971
Ta Cr Cu S
2 6 4 16
direct
0.0000 0.0396 0.0000 Ta
0.0000 0.9604 0.5000 Ta
0.0000 0.3299 0.5346 Cr
0.0000 0.6701 0.0346 Cr
0.5000 0.1833 0.7610 Cr
0.5000 0.4547 0.2934 Cr
0.5000 0.5453 0.7934 Cr
0.5000 0.8167 0.2610 Cr
0.0000 0.1939 0.2775 Cu
0.0000 0.8061 0.7775 Cu
0.5000 0.3385 0.0277 Cu
0.5000 0.6615 0.5277 Cu
0.0000 0.1302 0.6188 S
0.0000 0.2283 0.8954 S
0.0000 0.3649 0.1755 S
0.0000 0.4993 0.9315 S
0.0000 0.5007 0.4315 S
0.0000 0.6351 0.6755 S
0.0000 0.7717 0.3954 S
0.0000 0.8698 0.1188 S
0.5000 0.0066 0.3531 S
0.5000 0.1366 0.1144 S
0.5000 0.2814 0.3986 S
0.5000 0.3684 0.6768 S
0.5000 0.6316 0.1768 S
0.5000 0.7186 0.8986 S
0.5000 0.8634 0.6144 S
0.5000 0.9934 0.8531 S
```

The 8 most intense peaks (2θ from 10° to 90°), in order of falling intensity:
27.21°, rel. 100; 38.44°, rel. 85; 34.01°, rel. 66; 36.11°, rel. 65; 53.58°, rel. 64; 53.40°, rel. 61; 46.87°, rel. 57; 31.39°, rel. 40

Simulated X-ray diffraction stick pattern
Compound: TaCr3Cu2S8
Radiation: Cu Kα (λ = 1.5418 Å)
Structure: a PBE-relaxed structure
Peak positions follow from Bragg's law for the DFT cell and can differ from measured ones.

Atomic structure:
```
TaCr3Cu2S8
1.0
6.2715 0.0000 0.0000
-0.0003 7.2500 0.0000
-1.0705 -1.7560 12.2078
Ta Cr Cu S
2 6 4 16
direct
0.0000 0.0000 0.0000 Ta
0.3573 0.5880 0.2981 Ta
0.0691 0.1882 0.7060 Cr
0.4605 0.7690 0.9971 Cr
0.5877 0.4388 0.7126 Cr
0.5926 0.9394 0.7070 Cr
0.8510 0.8436 0.2956 Cr
0.8543 0.3287 0.2914 Cr
0.0877 0.6860 0.7013 Cu
0.3391 0.0854 0.2984 Cu
0.4674 0.2602 0.0009 Cu
0.9571 0.5107 0.9971 Cu
0.0211 0.1061 0.3708 S
0.0285 0.6020 0.3735 S
0.1046 0.2345 0.8906 S
0.1207 0.7329 0.8907 S
0.3192 0.5432 0.1085 S
0.3251 0.0354 0.1113 S
0.3989 0.1733 0.6401 S
0.4188 0.6704 0.6402 S
0.5267 0.8600 0.3760 S
0.5323 0.3475 0.3702 S
0.6067 0.4942 0.8959 S
0.6194 0.9843 0.8951 S
0.8033 0.7927 0.1067 S
0.8221 0.2798 0.1070 S
0.8994 0.4214 0.6368 S
0.9051 0.9217 0.6315 S
```

The 8 most intense peaks (2θ from 10° to 90°), in order of falling intensity:
21.84°, rel. 100; 30.11°, rel. 87; 50.37°, rel. 73; 28.55°, rel. 55; 34.69°, rel. 54; 51.39°, rel. 44; 28.87°, rel. 34; 43.22°, rel. 29

Simulated X-ray diffraction stick pattern
Compound: TaCr3Cu2S8
Radiation: Cu Kα (λ = 1.5418 Å)
Structure: a PBE-relaxed structure
Peak positions follow from Bragg's law for the DFT cell and can differ from measured ones.

Atomic structure:
```
TaCr3Cu2S8
1.0
3.5701 2.0612 5.6251
-3.5701 2.0612 5.6251
0.0000 -4.1224 5.6251
Ta Cr Cu S
1 3 2 8
direct
0.0000 0.0000 0.0000 Ta
0.0000 0.0000 0.5000 Cr
0.0000 0.5000 0.0000 Cr
0.5000 0.0000 0.0000 Cr
0.3742 0.3742 0.3742 Cu
0.6258 0.6258 0.6258 Cu
0.2322 0.7533 0.7533 S
0.2404 0.2404 0.2404 S
0.2467 0.2467 0.7678 S
0.2467 0.7678 0.2467 S
0.7533 0.2322 0.7533 S
0.7533 0.7533 0.2322 S
0.7596 0.7596 0.7596 S
0.7678 0.2467 0.2467 S
```

The 8 most intense peaks (2θ from 10° to 90°), in order of falling intensity:
29.64°, rel. 100; 36.01°, rel. 59; 15.26°, rel. 52; 51.17°, rel. 52; 24.94°, rel. 51; 30.17°, rel. 49; 52.52°, rel. 47; 47.31°, rel. 33

Simulated X-ray diffraction stick pattern
Compound: TaCr3Cu2S8
Radiation: Cu Kα (λ = 1.5418 Å)
Structure: a PBE-relaxed structure
Peak positions follow from Bragg's law for the DFT cell and can differ from measured ones.

Atomic structure:
```
TaCr3Cu2S8
1.0
11.4327 0.0000 0.0000
0.0000 3.4243 0.0000
-0.1136 0.0000 12.0076
Ta Cr Cu S
2 6 4 16
direct
0.1446 0.2500 0.2908 Ta
0.8554 0.7500 0.7092 Ta
0.1193 0.2500 0.9249 Cr
0.3540 0.7500 0.7934 Cr
0.3906 0.7500 0.4311 Cr
0.6094 0.2500 0.5689 Cr
0.6460 0.2500 0.2066 Cr
0.8807 0.7500 0.0751 Cr
0.1403 0.7500 0.5921 Cu
0.3920 0.2500 0.0524 Cu
0.6080 0.7500 0.9476 Cu
0.8597 0.2500 0.4079 Cu
0.0277 0.2500 0.1197 S
0.0316 0.7500 0.3889 S
0.2135 0.2500 0.7488 S
0.2528 0.2500 0.4788 S
0.2534 0.7500 0.9692 S
0.2892 0.7500 0.2466 S
0.4726 0.7500 0.6164 S
0.4741 0.2500 0.8752 S
0.5259 0.7500 0.1248 S
0.5274 0.2500 0.3836 S
0.7108 0.2500 0.7534 S
0.7466 0.2500 0.0308 S
0.7472 0.7500 0.5212 S
0.7865 0.7500 0.2512 S
0.9684 0.2500 0.6111 S
0.9723 0.7500 0.8803 S
```

The 8 most intense peaks (2θ from 10° to 90°), in order of falling intensity:
27.08°, rel. 100; 36.01°, rel. 86; 33.89°, rel. 82; 53.54°, rel. 72; 10.74°, rel. 66; 16.61°, rel. 62; 38.30°, rel. 58; 27.32°, rel. 49

Simulated X-ray diffraction stick pattern
Compound: TaCr3Cu2S8
Radiation: Cu Kα (λ = 1.5418 Å)
Structure: a PBE-relaxed structure
Peak positions follow from Bragg's law for the DFT cell and can differ from measured ones.

Atomic structure:
```
TaCr3Cu2S8
1.0
7.1909 0.0000 0.0000
0.0000 6.4778 0.0000
0.0000 0.0000 12.2805
Ta Cr Cu S
2 6 4 16
direct
0.0000 0.1486 0.0000 Ta
0.5000 0.8514 0.5000 Ta
0.0000 0.3106 0.3069 Cr
0.0000 0.6587 0.3840 Cr
0.0000 0.7731 0.1647 Cr
0.5000 0.2269 0.6647 Cr
0.5000 0.3413 0.8840 Cr
0.5000 0.6894 0.8069 Cr
0.0000 0.0523 0.5197 Cu
0.0000 0.6002 0.8378 Cu
0.5000 0.3998 0.3378 Cu
0.5000 0.9477 0.0197 Cu
0.0000 0.3976 0.4908 S
0.0000 0.5112 0.0172 S
0.0000 0.9624 0.8430 S
0.0000 0.9775 0.3340 S
0.2216 0.5567 0.2662 S
0.2353 0.0297 0.1107 S
0.2647 0.9703 0.6107 S
0.2784 0.4433 0.7662 S
0.5000 0.0225 0.8340 S
0.5000 0.0376 0.3430 S
0.5000 0.4888 0.5172 S
0.5000 0.6024 0.9908 S
0.7216 0.4433 0.7662 S
0.7353 0.9703 0.6107 S
0.7647 0.0297 0.1107 S
0.7784 0.5567 0.2662 S
```

The 8 most intense peaks (2θ from 10° to 90°), in order of falling intensity:
24.76°, rel. 100; 19.92°, rel. 74; 23.49°, rel. 72; 14.27°, rel. 69; 34.66°, rel. 61; 28.77°, rel. 56; 44.43°, rel. 39; 36.02°, rel. 39

Simulated X-ray diffraction stick pattern
Compound: TaCr3Cu2S8
Radiation: Cu Kα (λ = 1.5418 Å)
Structure: a PBE-relaxed structure
Peak positions follow from Bragg's law for the DFT cell and can differ from measured ones.

Atomic structure:
```
TaCr3Cu2S8
1.0
3.4488 0.0000 0.0000
0.0000 11.0635 0.0000
0.0000 0.0000 12.5534
Ta Cr Cu S
2 6 4 16
direct
0.0000 0.2133 0.0000 Ta
0.5000 0.7867 0.5000 Ta
0.0000 0.1561 0.5304 Cr
0.0000 0.6502 0.2043 Cr
0.0000 0.7063 0.7448 Cr
0.5000 0.2937 0.2448 Cr
0.5000 0.3498 0.7043 Cr
0.5000 0.8439 0.0304 Cr
0.0000 0.5433 0.9169 Cu
0.0000 0.9932 0.7433 Cu
0.5000 0.0068 0.2433 Cu
0.5000 0.4567 0.4169 Cu
0.0000 0.1517 0.1907 S
0.0000 0.3145 0.8333 S
0.0000 0.3655 0.5713 S
0.0000 0.4405 0.2865 S
0.0000 0.6440 0.5630 S
0.0000 0.8239 0.9049 S
0.0000 0.8637 0.1697 S
0.0000 0.9387 0.4652 S
0.5000 0.0613 0.9652 S
0.5000 0.1363 0.6697 S
0.5000 0.1761 0.4049 S
0.5000 0.3560 0.0630 S
0.5000 0.5595 0.7865 S
0.5000 0.6345 0.0713 S
0.5000 0.6855 0.3333 S
0.5000 0.8483 0.6907 S
```

The 8 most intense peaks (2θ from 10° to 90°), in order of falling intensity:
30.66°, rel. 100; 10.66°, rel. 98; 28.06°, rel. 82; 21.41°, rel. 57; 36.38°, rel. 56; 28.44°, rel. 54; 47.41°, rel. 51; 51.39°, rel. 51

Simulated X-ray diffraction stick pattern
Compound: TaCr3Cu2S8
Radiation: Cu Kα (λ = 1.5418 Å)
Structure: a PBE-relaxed structure
Peak positions follow from Bragg's law for the DFT cell and can differ from measured ones.

Atomic structure:
```
TaCr3Cu2S8
1.0
11.4020 0.0000 0.0000
0.0000 6.9831 0.0000
0.0000 0.0000 12.0073
Ta Cr Cu S
4 12 8 32
direct
0.0966 0.1095 0.0000 Ta
0.4034 0.1095 0.5000 Ta
0.5966 0.8905 0.0000 Ta
0.9034 0.8905 0.5000 Ta
0.1252 0.6296 0.6472 Cr
0.1345 0.8580 0.2912 Cr
0.1537 0.3815 0.2670 Cr
0.3463 0.3815 0.7670 Cr
0.3655 0.8580 0.7912 Cr
0.3748 0.6296 0.1472 Cr
0.6252 0.3704 0.6472 Cr
0.6345 0.1420 0.2912 Cr
0.6537 0.6185 0.2670 Cr
0.8463 0.6185 0.7670 Cr
0.8655 0.1420 0.7912 Cr
0.8748 0.3704 0.1472 Cr
0.1143 0.6218 0.9969 Cu
0.1202 0.1156 0.6357 Cu
0.3798 0.1156 0.1357 Cu
0.3857 0.6218 0.4969 Cu
0.6143 0.3782 0.9969 Cu
0.6202 0.8844 0.6357 Cu
0.8798 0.8844 0.1357 Cu
0.8857 0.3782 0.4969 Cu
0.0217 0.1402 0.1990 S
0.0231 0.6114 0.1850 S
0.0316 0.1291 0.4567 S
0.0324 0.6314 0.4595 S
0.2183 0.6252 0.8267 S
0.2203 0.1218 0.8391 S
0.2293 0.8779 0.1095 S
0.2456 0.3720 0.0956 S
0.2544 0.3720 0.5956 S
0.2707 0.8779 0.6095 S
0.2797 0.1218 0.3391 S
0.2817 0.6252 0.3267 S
0.4684 0.1291 0.9567 S
0.4676 0.6314 0.9595 S
0.4769 0.6114 0.6850 S
0.4783 0.1402 0.6990 S
0.5217 0.8598 0.1990 S
0.5231 0.3886 0.1850 S
0.5324 0.3686 0.4595 S
0.5316 0.8709 0.4567 S
0.7183 0.3748 0.8267 S
0.7203 0.8782 0.8391 S
0.7293 0.1221 0.1095 S
0.7456 0.6280 0.0956 S
0.7544 0.6280 0.5956 S
0.7707 0.1221 0.6095 S
0.7797 0.8782 0.3391 S
0.7817 0.3748 0.3267 S
0.9676 0.3686 0.9595 S
0.9684 0.8709 0.9567 S
0.9769 0.3886 0.6850 S
0.9783 0.8598 0.6990 S
```

The 8 most intense peaks (2θ from 10° to 90°), in order of falling intensity:
27.22°, rel. 100; 38.07°, rel. 88; 35.71°, rel. 60; 34.88°, rel. 58; 53.37°, rel. 54; 46.57°, rel. 53; 17.22°, rel. 45; 53.15°, rel. 40